Structure and simulated PXRD pattern of CeNiTeO5 (a DFT-relaxed cell (PBE+U, Alexandria); Cu Kα, 1.54184 Å).
Neutral-atom scattering factors, no anomalous dispersion.

```
data_CeNiTeO5
_chemical_formula_sum 'Ce4 Ni4 Te4 O20'
_space_group_name_H-M_alt 'C 1 2/c 1'
_space_group_IT_number 15
_cell_length_a 7.0726
_cell_length_b 10.6280
_cell_length_c 7.4572
_cell_angle_alpha 90.00
_cell_angle_beta 106.54
_cell_angle_gamma 90.00
loop_
_space_group_symop_operation_xyz
'x,y,z'
'-x,-y,-z'
'-x,y,-z+1/2'
'x,-y,z+1/2'
'x+1/2,y+1/2,z'
'-x+1/2,-y+1/2,-z'
'-x+1/2,y+1/2,-z+1/2'
'x+1/2,-y+1/2,z+1/2'
loop_
_atom_site_label
_atom_site_type_symbol
_atom_site_fract_x
_atom_site_fract_y
_atom_site_fract_z
_atom_site_occupancy
Ce1 Ce 0.2500 0.2500 0.0000 1
Ni1 Ni 0.0000 0.0036 0.7500 1
Te1 Te 0.0000 0.5001 0.2500 1
O1 O 0.0000 0.1885 0.7500 1
O2 O 0.0264 0.3729 0.0761 1
O3 O 0.1902 0.0611 0.1361 1
```

Peak list (10 most intense, 2θ = 10–80°, in order of falling intensity)
(0 2 2), 30.13 deg, I 100; (1 1 -1), 17.38 deg, I 89; (2 2 0), 31.30 deg, I 78; (2 4 -2), 46.28 deg, I 50; (1 1 1), 22.12 deg, I 47; (2 0 -2), 30.75 deg, I 41; (0 4 0), 33.73 deg, I 32; (2 0 2), 41.61 deg, I 25; (2 4 2), 54.60 deg, I 21; (1 3 -3), 44.59 deg, I 21